The following is a theoretical powder XRD pattern of ErTm2Fe2Co7. It was derived from the PBE geometry in OQMD, using λ = 1.5418 Å (Cu Kα).

Crystal structure
Cell lengths 5.0101, 5.0101, 23.6537 Å; angles 90.00, 90.00, 120.00 degrees
Space group R-3m (No. 166, hexagonal axes)
Inequivalent atoms, fractional coordinates:
Er: 0.0000 0.0000 0.0000 (multiplicity 3)
Tm: 0.0000 0.0000 0.1409 (multiplicity 6)
Fe: 0.0000 0.0000 0.3341 (multiplicity 6)
Co: 0.0000 0.0000 0.5000 (multiplicity 3)
Co: 0.0032 0.5016 0.9176 (multiplicity 18)

Largest 12 diffraction maxima, by angle, 5° ≤ 2θ ≤ 70°:
2θ 20.8, I = 15.6, (1 0 1); 2θ 33.6, I = 52.6, (1 0 7); 2θ 35.8, I = 59.0, (1 1 0); 2θ 36.8, I = 40.6, (0 1 8); 2θ 41.8, I = 41.6, (0 2 1); 2θ 42.8, I = 100.0, (1 1 6); 2θ 46.0, I = 22.7, (0 0 12); 2θ 47.2, I = 11.8, (0 1 11); 2θ 63.0, I = 18.0, (2 1 7); 2θ 64.4, I = 10.6, (3 0 0); 2θ 65.0, I = 14.4, (1 2 8); 2θ 69.2, I = 22.8, (3 0 6)

The following is a theoretical powder XRD pattern of Er2TmFe8Co. It was derived from the PBE geometry in OQMD, using λ = 1.5418 Å (Cu Kα).

Crystal structure
Cell lengths 5.0235, 5.0235, 24.1084 Å; angles 90.00, 90.00, 120.00 degrees
Space group R-3m (No. 166, hexagonal axes)
Inequivalent atoms, fractional coordinates:
Er: 0.0000 0.0000 0.1419 (multiplicity 6)
Tm: 0.0000 0.0000 0.0000 (multiplicity 3)
Fe: 0.0000 0.0000 0.3328 (multiplicity 6)
Fe: 0.9996 0.4998 0.0818 (multiplicity 18)
Co: 0.0000 0.0000 0.5000 (multiplicity 3)

Largest 12 diffraction maxima, by angle, 5° ≤ 2θ ≤ 70°:
2θ 20.7, I = 15.3, (1 0 1); 2θ 33.2, I = 53.1, (1 0 7); 2θ 35.7, I = 58.1, (1 1 0); 2θ 36.3, I = 36.6, (0 1 8); 2θ 41.7, I = 38.1, (0 2 1); 2θ 42.4, I = 100.0, (1 1 6); 2θ 45.1, I = 11.3, (0 0 12); 2θ 46.4, I = 11.1, (0 1 11); 2θ 62.6, I = 17.3, (2 1 7); 2θ 64.6, I = 13.4, (1 2 8); 2θ 68.8, I = 22.6, (3 0 6); 2θ 69.6, I = 12.9, (2 0 14)

The following is a theoretical powder XRD pattern of Er2TmFe3Co6. It was derived from the PBE geometry in OQMD, using λ = 1.5418 Å (Cu Kα).

Crystal structure
Cell lengths 5.0349, 5.0349, 23.5695 Å; angles 90.00, 90.00, 120.00 degrees
Space group R-3m (No. 166, hexagonal axes)
Inequivalent atoms, fractional coordinates:
Er: 0.0000 0.0000 0.1408 (multiplicity 6)
Tm: 0.0000 0.0000 0.0000 (multiplicity 3)
Fe: 0.0000 0.0000 0.3333 (multiplicity 6)
Fe: 0.0000 0.0000 0.5000 (multiplicity 3)
Co: 0.0015 0.5007 0.9181 (multiplicity 18)

Largest 12 diffraction maxima, by angle, 5° ≤ 2θ ≤ 70°:
2θ 20.7, I = 16.1, (1 0 1); 2θ 33.6, I = 54.2, (1 0 7); 2θ 35.7, I = 58.9, (1 1 0); 2θ 36.8, I = 39.4, (0 1 8); 2θ 41.6, I = 42.9, (0 2 1); 2θ 42.7, I = 100.0, (1 1 6); 2θ 45.9, I = 11.7, (2 0 5); 2θ 47.3, I = 11.4, (0 1 11); 2θ 58.8, I = 12.3, (0 0 15); 2θ 62.8, I = 18.4, (2 1 7); 2θ 64.8, I = 14.6, (1 2 8); 2θ 68.9, I = 22.9, (3 0 6)

The following is a theoretical powder XRD pattern of Er2TmFe7Co2. It was derived from the PBE geometry in OQMD, using λ = 1.5418 Å (Cu Kα).

Crystal structure
Cell lengths 4.9976, 4.9976, 24.2726 Å; angles 90.00, 90.00, 120.00 degrees
Space group R-3m (No. 166, hexagonal axes)
Inequivalent atoms, fractional coordinates:
Er: 0.0000 0.0000 0.1420 (multiplicity 6)
Tm: 0.0000 0.0000 0.0000 (multiplicity 3)
Fe: 0.0000 0.0000 0.5000 (multiplicity 3)
Fe: 0.0004 0.5002 0.0818 (multiplicity 18)
Co: 0.0000 0.0000 0.3326 (multiplicity 6)

Largest 12 diffraction maxima, by angle, 5° ≤ 2θ ≤ 70°:
2θ 20.8, I = 13.8, (1 0 1); 2θ 33.1, I = 49.2, (1 0 7); 2θ 35.9, I = 53.0, (1 1 0); 2θ 36.2, I = 32.5, (0 1 8); 2θ 41.9, I = 34.3, (0 2 1); 2θ 42.5, I = 100.0, (1 1 6); 2θ 44.8, I = 10.8, (0 0 12); 2θ 46.2, I = 10.4, (0 1 11); 2θ 62.8, I = 15.7, (2 1 7); 2θ 64.7, I = 11.8, (1 2 8); 2θ 69.1, I = 30.3, (3 0 6); 2θ 69.5, I = 11.6, (2 0 14)

The following is a theoretical powder XRD pattern of ErTm2Fe8Co. It was derived from the PBE geometry in OQMD, using λ = 1.5418 Å (Cu Kα).

Crystal structure
Cell lengths 5.0170, 5.0170, 24.0563 Å; angles 90.00, 90.00, 120.00 degrees
Space group R-3m (No. 166, hexagonal axes)
Inequivalent atoms, fractional coordinates:
Er: 0.0000 0.0000 0.0000 (multiplicity 3)
Tm: 0.0000 0.0000 0.1420 (multiplicity 6)
Fe: 0.0000 0.0000 0.3328 (multiplicity 6)
Fe: 0.0007 0.5003 0.9180 (multiplicity 18)
Co: 0.0000 0.0000 0.5000 (multiplicity 3)

Largest 12 diffraction maxima, by angle, 5° ≤ 2θ ≤ 70°:
2θ 20.8, I = 15.5, (1 0 1); 2θ 33.2, I = 53.3, (1 0 7); 2θ 35.8, I = 58.5, (1 1 0); 2θ 36.3, I = 36.4, (0 1 8); 2θ 41.7, I = 38.0, (0 2 1); 2θ 42.5, I = 100.0, (1 1 6); 2θ 45.2, I = 11.2, (0 0 12); 2θ 46.5, I = 11.5, (0 1 11); 2θ 62.7, I = 17.5, (2 1 7); 2θ 64.7, I = 13.3, (1 2 8); 2θ 68.9, I = 22.6, (3 0 6); 2θ 69.8, I = 12.8, (2 0 14)

The following is a theoretical powder XRD pattern of Y2ErFe6Co3. It was derived from the PBE geometry in OQMD, using λ = 1.5418 Å (Cu Kα).

Crystal structure
Cell lengths 5.0335, 5.0335, 24.3171 Å; angles 90.00, 90.00, 120.00 degrees
Space group R-3m (No. 166, hexagonal axes)
Inequivalent atoms, fractional coordinates:
Y: 0.0000 0.0000 0.1419 (multiplicity 6)
Er: 0.0000 0.0000 0.0000 (multiplicity 3)
Fe: 0.0004 0.5002 0.0812 (multiplicity 18)
Co: 0.0000 0.0000 0.3324 (multiplicity 6)
Co: 0.0000 0.0000 0.5000 (multiplicity 3)

Largest 12 diffraction maxima, by angle, 5° ≤ 2θ ≤ 70°:
2θ 33.0, I = 33.7, (1 0 7); 2θ 35.7, I = 41.9, (1 1 0); 2θ 36.0, I = 28.9, (0 1 8); 2θ 41.6, I = 34.0, (0 2 1); 2θ 42.1, I = 14.7, (2 0 2); 2θ 42.3, I = 100.0, (1 1 6); 2θ 44.7, I = 17.7, (0 0 12); 2θ 45.6, I = 10.5, (2 0 5); 2θ 62.4, I = 10.5, (2 1 7); 2θ 64.3, I = 10.3, (1 2 8); 2θ 68.6, I = 22.1, (3 0 6); 2θ 69.2, I = 10.6, (2 0 14)

The following is a theoretical powder XRD pattern of ErGa2Co3. It was derived from the PBE geometry in OQMD, using λ = 1.5418 Å (Cu Kα).

Crystal structure
Cell lengths 5.1846, 5.1846, 3.7759 Å; angles 90.00, 90.00, 120.00 degrees
Space group P6/mmm (No. 191)
Inequivalent atoms, fractional coordinates:
Er: 0.0000 0.0000 0.0000 (multiplicity 1)
Ga: 0.3333 0.6667 0.0000 (multiplicity 2)
Co: 0.0000 0.5000 0.5000 (multiplicity 3)

Largest 12 diffraction maxima, by angle, 5° ≤ 2θ ≤ 70°:
2θ 23.6, I = 8.4, (0 0 1); 2θ 30.9, I = 39.8, (1 0 1); 2θ 34.6, I = 39.0, (1 1 0); 2θ 40.2, I = 31.9, (2 0 0); 2θ 42.3, I = 100.0, (1 1 1); 2θ 47.1, I = 4.2, (2 0 1); 2θ 48.2, I = 19.9, (0 0 2); 2θ 59.7, I = 12.1, (2 1 1); 2θ 60.7, I = 15.5, (1 1 2); 2θ 62.0, I = 7.3, (3 0 0); 2θ 64.5, I = 14.9, (2 0 2); 2θ 67.3, I = 24.3, (3 0 1)

The following is a theoretical powder XRD pattern of Er3GaCoS7. It was derived from the PBE geometry in OQMD, using λ = 1.5418 Å (Cu Kα).

Crystal structure
Cell lengths 9.4486, 9.4486, 6.1203 Å; angles 90.00, 90.00, 120.00 degrees
Space group P6_3 (No. 173)
Inequivalent atoms, fractional coordinates:
Er: 0.1555 0.3737 0.0000 (multiplicity 6)
Ga: 0.3333 0.6667 0.4283 (multiplicity 2)
Co: 0.0000 0.0000 0.3393 (multiplicity 2)
S: 0.0841 0.5654 0.2681 (multiplicity 6)
S: 0.0974 0.2253 0.5943 (multiplicity 6)
S: 0.3333 0.6667 0.7961 (multiplicity 2)

Largest 12 diffraction maxima, by angle, 5° ≤ 2θ ≤ 70°:
2θ 18.1, I = 24.1, (1 0 1); 2θ 26.2, I = 100.0, (2 0 1); 2θ 28.9, I = 19.1, (1 2 0); 2θ 29.2, I = 15.6, (0 0 2); 2θ 36.1, I = 25.3, (3 0 1); 2θ 36.7, I = 31.0, (2 0 2); 2θ 38.1, I = 35.7, (2 2 0); 2θ 41.5, I = 21.4, (1 2 2); 2θ 42.5, I = 15.2, (3 1 1); 2θ 48.7, I = 15.8, (2 2 2); 2θ 50.0, I = 29.2, (2 0 3); 2θ 53.5, I = 15.3, (1 4 1)

The following is a theoretical powder XRD pattern of GdErCo2Si2. It was derived from the PBE geometry in OQMD, using λ = 1.5418 Å (Cu Kα).

Crystal structure
Cell lengths 3.961, 3.961, 6.690 Å; angles 90.00, 90.00, 90.00 degrees
Space group P4mm (No. 99)
Inequivalent atoms, fractional coordinates:
Gd: 0.000 0.000 0.000 (multiplicity 1)
Er: 0.500 0.500 0.364 (multiplicity 1)
Co: 0.000 0.500 0.675 (multiplicity 2)
Si: 0.000 0.000 0.488 (multiplicity 1)
Si: 0.500 0.500 0.860 (multiplicity 1)

Largest 12 diffraction maxima, by angle, 5° ≤ 2θ ≤ 70°:
2θ 26.1, I = 100.0, (1 0 1); 2θ 32.0, I = 34.1, (1 1 0); 2θ 34.7, I = 47.5, (1 1 1); 2θ 35.1, I = 66.5, (1 0 2); 2θ 40.4, I = 20.1, (0 0 3); 2θ 42.1, I = 70.0, (1 1 2); 2θ 45.8, I = 49.1, (2 0 0); 2θ 53.5, I = 29.1, (2 1 1); 2θ 59.0, I = 29.6, (2 1 2); 2θ 60.0, I = 24.5, (1 0 4); 2θ 62.7, I = 21.5, (2 0 3); 2θ 66.8, I = 15.6, (2 2 0)

The following is a theoretical powder XRD pattern of Er3Co2Ge3. It was derived from the PBE geometry in OQMD, using λ = 1.5418 Å (Cu Kα).

Crystal structure
Cell lengths 4.154, 10.323, 13.908 Å; angles 90.00, 90.00, 90.00 degrees
Space group Cmcm (No. 63)
Inequivalent atoms, fractional coordinates:
Er: 0.000 0.082 0.109 (multiplicity 8)
Er: 0.000 0.360 0.250 (multiplicity 4)
Co: 0.000 0.206 0.598 (multiplicity 8)
Ge: 0.000 0.339 0.750 (multiplicity 4)
Ge: 0.000 0.371 0.039 (multiplicity 8)

Largest 12 diffraction maxima, by angle, 5° ≤ 2θ ≤ 70°:
2θ 24.0, I = 13.1, (1 1 1); 2θ 25.8, I = 11.6, (0 2 3); 2θ 34.5, I = 43.2, (1 3 1); 2θ 34.8, I = 100.0, (1 1 4); 2θ 36.7, I = 15.2, (0 2 5); 2θ 38.9, I = 16.6, (0 0 6); 2θ 39.2, I = 32.9, (1 3 3); 2θ 40.0, I = 18.8, (0 4 3); 2θ 42.9, I = 22.7, (1 3 4); 2θ 43.6, I = 32.2, (2 0 0); 2θ 60.0, I = 12.4, (0 6 4); 2θ 67.4, I = 13.7, (1 7 0)

The following is a theoretical powder XRD pattern of HoErCo2Ge2. It was derived from the PBE geometry in OQMD, using λ = 1.5418 Å (Cu Kα).

Crystal structure
Cell lengths 4.008, 4.008, 6.665 Å; angles 90.00, 90.00, 90.00 degrees
Space group P4mm (No. 99)
Inequivalent atoms, fractional coordinates:
Ho: 0.000 0.000 0.000 (multiplicity 1)
Er: 0.500 0.500 0.631 (multiplicity 1)
Co: 0.000 0.500 0.317 (multiplicity 2)
Ge: 0.000 0.000 0.525 (multiplicity 1)
Ge: 0.500 0.500 0.110 (multiplicity 1)

Largest 12 diffraction maxima, by angle, 5° ≤ 2θ ≤ 70°:
2θ 25.9, I = 37.2, (1 0 1); 2θ 26.8, I = 18.7, (0 0 2); 2θ 31.6, I = 59.6, (1 1 0); 2θ 34.4, I = 35.7, (1 1 1); 2θ 35.0, I = 73.1, (1 0 2); 2θ 40.6, I = 12.8, (0 0 3); 2θ 41.8, I = 100.0, (1 1 2); 2θ 45.3, I = 63.9, (2 0 0); 2θ 58.5, I = 33.3, (2 1 2); 2θ 60.1, I = 31.9, (1 0 4); 2θ 62.4, I = 14.1, (2 0 3); 2θ 65.9, I = 20.3, (2 2 0)

The following is a theoretical powder XRD pattern of HoErCoGe2. It was derived from the PBE geometry in OQMD, using λ = 1.5418 Å (Cu Kα).

Crystal structure
Cell lengths 10.371, 4.184, 10.135 Å; angles 90.00, 117.80, 90.00 degrees
Space group C2/m (No. 12)
Inequivalent atoms, fractional coordinates:
Ho: 0.005 0.000 0.333 (multiplicity 4)
Er: 0.187 0.000 0.114 (multiplicity 4)
Co: 0.224 0.500 0.350 (multiplicity 4)
Ge: 0.016 0.500 0.877 (multiplicity 4)
Ge: 0.155 0.500 0.564 (multiplicity 4)

Largest 12 diffraction maxima, by angle, 5° ≤ 2θ ≤ 70°:
2θ 33.7, I = 60.2, (1 1 2); 2θ 33.8, I = 90.3, (3 1 -1); 2θ 34.2, I = 25.9, (3 1 -2); 2θ 34.4, I = 100.0, (1 1 -3); 2θ 34.6, I = 46.4, (4 0 -2); 2θ 37.5, I = 53.7, (3 1 -3); 2θ 40.2, I = 34.3, (0 0 4); 2θ 41.4, I = 65.7, (3 1 1); 2θ 43.2, I = 60.9, (0 2 0); 2θ 56.6, I = 39.7, (4 2 -2); 2θ 60.5, I = 31.3, (6 0 0); 2θ 67.0, I = 29.3, (7 1 -3)